Structure and simulated X-ray diffraction stick pattern of Li2TlVS4 (a cell relaxed with PBE; Cu Kα, 1.54184 Å).
Lines closer than 0.1° are merged.

Crystal structure
```
data_Li2TlVS4
_cell_length_a 9.2922
_cell_length_b 9.2990
_cell_length_c 8.4321
_cell_angle_alpha 90.00
_cell_angle_beta 90.00
_cell_angle_gamma 90.00
_space_group_name_H-M_alt 'F m m 2'
_space_group_IT_number 42
_space_group_name_Hall 'F 2 -2'
loop_
_atom_site_label
_atom_site_type_symbol
_atom_site_fract_x
_atom_site_fract_y
_atom_site_fract_z
_atom_site_occupancy
Li1 Li 0.2500 0.2500 0.0000 1
Tl1 Tl 0.0000 0.0000 0.2503 1
V1 V 0.0000 0.0000 0.7497 1
S1 S 0.0000 0.1885 0.9009 1
S2 S 0.1885 0.0000 0.5983 1
```

The 8 most intense peaks (15° ≤ 2θ ≤ 90°), in order of falling intensity:
2θ 19.1, rel. 100, hkl 2 0 0; 2θ 28.6, rel. 85, hkl 2 0 2; 2θ 32.3, rel. 55, hkl 1 3 1; 2θ 34.6, rel. 49, hkl 2 2 2; 2θ 17.1, rel. 48, hkl 1 1 1; 2θ 48.9, rel. 39, hkl 2 4 2; 2θ 38.7, rel. 26, hkl 4 0 0; 2θ 34.7, rel. 26, hkl 1 1 3

***

Structure and simulated X-ray diffraction stick pattern of LiTlWS4 (a cell relaxed with PBE; Cu Kα, 1.54184 Å).
Lines closer than 0.1° are merged.

Crystal structure
```
data_LiTlWS4
_cell_length_a 8.4547
_cell_length_b 11.9996
_cell_length_c 8.0652
_cell_angle_alpha 90.00
_cell_angle_beta 90.00
_cell_angle_gamma 90.00
_space_group_name_H-M_alt 'C m c m'
_space_group_IT_number 63
_space_group_name_Hall '-C 2c 2'
loop_
_atom_site_label
_atom_site_type_symbol
_atom_site_fract_x
_atom_site_fract_y
_atom_site_fract_z
_atom_site_occupancy
Li1 Li 0.0000 0.1287 0.2500 1
Tl1 Tl 0.0000 0.5000 0.0000 1
W1 W 0.0000 0.1292 0.7500 1
S1 S 0.0000 0.2338 0.5255 1
S2 S 0.2087 0.0172 0.7500 1
```

The 8 most intense peaks (15° ≤ 2θ ≤ 90°), in order of falling intensity:
2θ 25.6, rel. 100, hkl 1 1 2; 2θ 24.6, rel. 57, hkl 1 3 0; 2θ 21.0, rel. 55, hkl 2 0 0; 2θ 43.3, rel. 52, hkl 2 4 2; 2θ 16.9, rel. 46, hkl 1 1 1; 2θ 18.4, rel. 35, hkl 0 2 1; 2θ 39.1, rel. 34, hkl 3 3 0; 2θ 37.4, rel. 24, hkl 0 4 2

***

Structure and simulated X-ray diffraction stick pattern of LiTm6S5 (a cell relaxed with PBE; Cu Kα, 1.54184 Å).
Lines closer than 0.1° are merged.

Crystal structure
```
data_LiTm6S5
_cell_length_a 6.4855
_cell_length_b 6.4855
_cell_length_c 13.4882
_cell_angle_alpha 90.00
_cell_angle_beta 90.00
_cell_angle_gamma 120.00
_space_group_name_H-M_alt 'P 63/m c m'
_space_group_IT_number 193
_space_group_name_Hall '-P 6c 2'
loop_
_atom_site_label
_atom_site_type_symbol
_atom_site_fract_x
_atom_site_fract_y
_atom_site_fract_z
_atom_site_occupancy
Li1 Li 0.0000 0.0000 0.2500 1
Tm1 Tm 0.0000 0.3337 0.1139 1
S1 S 0.0000 0.3457 0.7500 1
S2 S 0.3333 0.6667 0.0000 1
```

The 8 most intense peaks (15° ≤ 2θ ≤ 90°), in order of falling intensity:
2θ 34.1, rel. 100, hkl 1 1 3; 2θ 28.3, rel. 57, hkl 1 1 1; 2θ 48.6, rel. 38, hkl 3 0 0; 2θ 27.5, rel. 30, hkl 1 1 0; 2θ 26.4, rel. 30, hkl 0 0 4; 2θ 38.5, rel. 28, hkl 1 1 4; 2θ 56.2, rel. 24, hkl 3 0 4; 2θ 55.5, rel. 22, hkl 1 1 7

***

Structure and simulated X-ray diffraction stick pattern of LiTm2US6 (a cell relaxed with PBE; Cu Kα, 1.54184 Å).
Lines closer than 0.1° are merged.

Crystal structure
```
data_LiTm2US6
_cell_length_a 6.2927
_cell_length_b 6.2927
_cell_length_c 6.3443
_cell_angle_alpha 90.00
_cell_angle_beta 90.00
_cell_angle_gamma 90.00
_space_group_name_H-M_alt 'P 4 m m'
_space_group_IT_number 99
loop_
_space_group_symop_operation_xyz
'x,y,z'
'-y,x,z'
'-x,-y,z'
'y,-x,z'
'-x,y,z'
'y,x,z'
'x,-y,z'
'-y,-x,z'
loop_
_atom_site_label
_atom_site_type_symbol
_atom_site_fract_x
_atom_site_fract_y
_atom_site_fract_z
_atom_site_occupancy
Li1 Li 0.0000 0.0000 0.0000 1
Tm1 Tm 0.0000 0.5000 0.4489 1
U1 U 0.5000 0.5000 0.0565 1
S1 S 0.0000 0.0000 0.6339 1
S2 S 0.2399 0.2399 0.2117 1
S3 S 0.5000 0.5000 0.6427 1
```

The 8 most intense peaks (15° ≤ 2θ ≤ 90°), in order of falling intensity:
2θ 24.4, rel. 100, hkl 1 1 1; 2θ 28.4, rel. 35, hkl 2 0 0; 2θ 47.9, rel. 34, hkl 3 1 1; 2θ 40.4, rel. 33, hkl 2 0 2; 2θ 40.5, rel. 31, hkl 2 2 0; 2θ 19.9, rel. 31, hkl 1 0 1; 2θ 34.7, rel. 30, hkl 1 1 2; 2θ 31.8, rel. 18, hkl 2 1 0

***

Structure and simulated X-ray diffraction stick pattern of LiTmU2S6 (a cell relaxed with PBE; Cu Kα, 1.54184 Å).
Lines closer than 0.1° are merged.

Crystal structure
```
data_LiTmU2S6
_cell_length_a 6.1741
_cell_length_b 6.1741
_cell_length_c 6.5451
_cell_angle_alpha 90.00
_cell_angle_beta 90.00
_cell_angle_gamma 90.00
_space_group_name_H-M_alt 'P 4 m m'
_space_group_IT_number 99
loop_
_space_group_symop_operation_xyz
'x,y,z'
'-y,x,z'
'-x,-y,z'
'y,-x,z'
'-x,y,z'
'y,x,z'
'x,-y,z'
'-y,-x,z'
loop_
_atom_site_label
_atom_site_type_symbol
_atom_site_fract_x
_atom_site_fract_y
_atom_site_fract_z
_atom_site_occupancy
Li1 Li 0.0000 0.0000 0.0000 1
Tm1 Tm 0.5000 0.5000 0.0300 1
U1 U 0.0000 0.5000 0.4494 1
S1 S 0.0000 0.0000 0.6329 1
S2 S 0.2412 0.2412 0.2108 1
S3 S 0.5000 0.5000 0.6303 1
```

The 8 most intense peaks (15° ≤ 2θ ≤ 90°), in order of falling intensity:
2θ 24.5, rel. 100, hkl 1 1 1; 2θ 40.2, rel. 37, hkl 2 0 2; 2θ 48.7, rel. 33, hkl 3 1 1; 2θ 28.9, rel. 31, hkl 2 0 0; 2θ 41.4, rel. 28, hkl 2 2 0; 2θ 34.2, rel. 26, hkl 1 1 2; 2θ 46.5, rel. 20, hkl 1 1 3; 2θ 32.1, rel. 18, hkl 2 0 1

***

Structure and simulated X-ray diffraction stick pattern of Li4US4 (a cell relaxed with PBE; Cu Kα, 1.54184 Å).
Lines closer than 0.1° are merged.

Crystal structure
```
data_Li4US4
_cell_length_a 12.6114
_cell_length_b 3.8664
_cell_length_c 9.3014
_cell_angle_alpha 90.00
_cell_angle_beta 124.75
_cell_angle_gamma 90.00
_space_group_name_H-M_alt 'C 1 2/m 1'
_space_group_IT_number 12
loop_
_space_group_symop_operation_xyz
'x,y,z'
'-x,-y,-z'
'-x,y,-z'
'x,-y,z'
'x+1/2,y+1/2,z'
'-x+1/2,-y+1/2,-z'
'-x+1/2,y+1/2,-z'
'x+1/2,-y+1/2,z'
loop_
_atom_site_label
_atom_site_type_symbol
_atom_site_fract_x
_atom_site_fract_y
_atom_site_fract_z
_atom_site_occupancy
Li1 Li 0.1491 0.0000 0.3775 1
Li2 Li 0.2068 0.5000 0.8208 1
U1 U 0.0000 0.5000 0.0000 1
S1 S 0.0801 0.0000 0.8767 1
S2 S 0.2308 0.5000 0.3033 1
```

The 8 most intense peaks (15° ≤ 2θ ≤ 90°), in order of falling intensity:
2θ 32.6, rel. 100, hkl 3 1 -2; 2θ 25.0, rel. 99, hkl 1 1 -1; 2θ 25.7, rel. 61, hkl 2 0 1; 2θ 17.1, rel. 57, hkl 2 0 0; 2θ 19.5, rel. 53, hkl 2 0 -2; 2θ 37.7, rel. 46, hkl 3 1 -3; 2θ 49.3, rel. 46, hkl 1 1 -4; 2θ 24.6, rel. 44, hkl 1 1 0

***

Structure and simulated X-ray diffraction stick pattern of LiUS (a cell relaxed with PBE; Cu Kα, 1.54184 Å).
Lines closer than 0.1° are merged.

Crystal structure
```
data_LiUS
_cell_length_a 3.7076
_cell_length_b 3.7076
_cell_length_c 25.6395
_cell_angle_alpha 90.00
_cell_angle_beta 90.00
_cell_angle_gamma 120.00
_space_group_name_H-M_alt 'R -3 m'
_space_group_IT_number 166
_space_group_name_Hall '-R 3 2"'
loop_
_atom_site_label
_atom_site_type_symbol
_atom_site_fract_x
_atom_site_fract_y
_atom_site_fract_z
_atom_site_occupancy
Li1 Li 0.0000 0.0000 0.1990 1
U1 U 0.0000 0.0000 0.3603 1
S1 S 0.0000 0.0000 0.0998 1
```

The 8 most intense peaks (15° ≤ 2θ ≤ 90°), in order of falling intensity:
2θ 31.2, rel. 100, hkl 1 0 4; 2θ 37.2, rel. 64, hkl 1 0 7; 2θ 49.1, rel. 35, hkl 1 1 0; 2θ 48.2, rel. 33, hkl 0 1 11; 2θ 50.4, rel. 33, hkl 1 1 3; 2θ 28.0, rel. 31, hkl 1 0 1; 2θ 39.7, rel. 28, hkl 0 1 8; 2θ 59.3, rel. 16, hkl 0 2 4

***

Structure and simulated X-ray diffraction stick pattern of Li3VS4 (a cell relaxed with PBE; Cu Kα, 1.54184 Å).
Lines closer than 0.1° are merged.

Crystal structure
```
data_Li3VS4
_cell_length_a 5.9675
_cell_length_b 5.9675
_cell_length_c 5.9675
_cell_angle_alpha 90.00
_cell_angle_beta 90.00
_cell_angle_gamma 90.00
_space_group_name_H-M_alt 'P -4 3 m'
_space_group_IT_number 215
_space_group_name_Hall 'P -4 2 3'
loop_
_atom_site_label
_atom_site_type_symbol
_atom_site_fract_x
_atom_site_fract_y
_atom_site_fract_z
_atom_site_occupancy
Li1 Li 0.0000 0.0000 0.5000 1
V1 V 0.0000 0.0000 0.0000 1
S1 S 0.2091 0.2091 0.2091 1
```

The 8 most intense peaks (15° ≤ 2θ ≤ 90°), in order of falling intensity:
2θ 25.9, rel. 100, hkl 1 1 1; 2θ 42.9, rel. 58, hkl 2 2 0; 2θ 21.1, rel. 45, hkl 1 1 0; 2θ 36.9, rel. 34, hkl 2 1 1; 2θ 55.5, rel. 33, hkl 3 2 0; 2θ 45.6, rel. 27, hkl 2 2 1; 2θ 50.7, rel. 21, hkl 3 1 1; 2θ 57.8, rel. 20, hkl 3 2 1

***

Structure and simulated X-ray diffraction stick pattern of Li2V2S5 (a cell relaxed with PBE; Cu Kα, 1.54184 Å).
Lines closer than 0.1° are merged.

Crystal structure
```
data_Li2V2S5
_cell_length_a 10.0029
_cell_length_b 6.2622
_cell_length_c 11.6001
_cell_angle_alpha 90.00
_cell_angle_beta 114.62
_cell_angle_gamma 90.00
_space_group_name_H-M_alt 'C 1 2/c 1'
_space_group_IT_number 15
loop_
_space_group_symop_operation_xyz
'x,y,z'
'-x,-y,-z'
'-x,y,-z+1/2'
'x,-y,z+1/2'
'x+1/2,y+1/2,z'
'-x+1/2,-y+1/2,-z'
'-x+1/2,y+1/2,-z+1/2'
'x+1/2,-y+1/2,z+1/2'
loop_
_atom_site_label
_atom_site_type_symbol
_atom_site_fract_x
_atom_site_fract_y
_atom_site_fract_z
_atom_site_occupancy
Li1 Li 0.1896 0.1182 0.3166 1
V1 V 0.0916 0.3521 0.9481 1
S1 S 0.0000 0.1674 0.7500 1
S2 S 0.0825 0.3896 0.1417 1
S3 S 0.2018 0.0032 0.0309 1
```

The 8 most intense peaks (15° ≤ 2θ ≤ 90°), in order of falling intensity:
2θ 17.2, rel. 100, hkl 1 1 -1; 2θ 16.8, rel. 48, hkl 0 0 2; 2θ 30.6, rel. 48, hkl 3 1 -1; 2θ 34.3, rel. 44, hkl 1 1 -4; 2θ 37.8, rel. 41, hkl 2 2 1; 2θ 52.4, rel. 27, hkl 5 1 0; 2θ 30.7, rel. 17, hkl 3 1 -2; 2θ 56.6, rel. 17, hkl 3 3 -4

***

Structure and simulated X-ray diffraction stick pattern of Li3V4S8 (a cell relaxed with PBE; Cu Kα, 1.54184 Å).
Lines closer than 0.1° are merged.

Crystal structure
```
data_Li3V4S8
_cell_length_a 11.4940
_cell_length_b 6.6304
_cell_length_c 7.6341
_cell_angle_alpha 90.00
_cell_angle_beta 119.95
_cell_angle_gamma 90.00
_space_group_name_H-M_alt 'C 1 m 1'
_space_group_IT_number 8
loop_
_space_group_symop_operation_xyz
'x,y,z'
'x,-y,z'
'x+1/2,y+1/2,z'
'x+1/2,-y+1/2,z'
loop_
_atom_site_label
_atom_site_type_symbol
_atom_site_fract_x
_atom_site_fract_y
_atom_site_fract_z
_atom_site_occupancy
Li1 Li 0.0000 0.0000 0.0000 1
Li2 Li 0.2653 0.2649 0.9991 1
V1 V 0.1593 0.5000 0.4465 1
V2 V 0.1824 0.0000 0.4391 1
V3 V 0.3926 0.2111 0.4392 1
S1 S 0.1373 0.2455 0.6384 1
S2 S 0.1629 0.2528 0.2113 1
S3 S 0.3924 0.5000 0.6394 1
S4 S 0.4051 0.0000 0.6876 1
S5 S 0.4160 0.0000 0.2123 1
S6 S 0.4258 0.5000 0.2476 1
```

The 8 most intense peaks (15° ≤ 2θ ≤ 90°), in order of falling intensity:
2θ 36.1, rel. 100, hkl 2 2 -2; 2θ 55.4, rel. 28, hkl 0 4 0; 2θ 31.5, rel. 26, hkl 2 2 -1; 2θ 48.5, rel. 25, hkl 2 2 2; 2θ 45.0, rel. 20, hkl 2 2 -3; 2θ 48.6, rel. 12, hkl 4 0 -4; 2θ 68.0, rel. 11, hkl 8 0 -4; 2θ 44.8, rel. 10, hkl 4 0 1

***

Structure and simulated X-ray diffraction stick pattern of Li3VS3 (a cell relaxed with PBE; Cu Kα, 1.54184 Å).
Lines closer than 0.1° are merged.

Crystal structure
```
data_Li3VS3
_cell_length_a 11.1550
_cell_length_b 11.1550
_cell_length_c 6.0356
_cell_angle_alpha 90.00
_cell_angle_beta 90.00
_cell_angle_gamma 120.00
_space_group_name_H-M_alt 'R -3 c'
_space_group_IT_number 167
_space_group_name_Hall '-R 3 2"c'
loop_
_atom_site_label
_atom_site_type_symbol
_atom_site_fract_x
_atom_site_fract_y
_atom_site_fract_z
_atom_site_occupancy
Li1 Li 0.0000 0.4484 0.2500 1
V1 V 0.0000 0.0000 0.0000 1
S1 S 0.0000 0.1744 0.2500 1
```

The 8 most intense peaks (15° ≤ 2θ ≤ 90°), in order of falling intensity:
2θ 15.9, rel. 100, hkl 1 1 0; 2θ 38.7, rel. 50, hkl 1 2 2; 2θ 28.6, rel. 47, hkl 2 1 1; 2θ 36.7, rel. 32, hkl 1 3 1; 2θ 45.3, rel. 27, hkl 3 1 2; 2θ 42.9, rel. 25, hkl 4 1 0; 2θ 57.2, rel. 19, hkl 6 0 0; 2θ 51.1, rel. 15, hkl 2 3 2

***

Structure and simulated X-ray diffraction stick pattern of Li4VS4 (a cell relaxed with PBE; Cu Kα, 1.54184 Å).
Lines closer than 0.1° are merged.

Crystal structure
```
data_Li4VS4
_cell_length_a 14.2282
_cell_length_b 7.7662
_cell_length_c 6.1498
_cell_angle_alpha 90.00
_cell_angle_beta 90.00
_cell_angle_gamma 90.00
_space_group_name_H-M_alt 'P n m a'
_space_group_IT_number 62
loop_
_space_group_symop_operation_xyz
'x,y,z'
'-x,-y,-z'
'-x+1/2,-y,z+1/2'
'x+1/2,y,-z+1/2'
'x+1/2,-y+1/2,-z+1/2'
'-x+1/2,y+1/2,z+1/2'
'-x,y+1/2,-z'
'x,-y+1/2,z'
loop_
_atom_site_label
_atom_site_type_symbol
_atom_site_fract_x
_atom_site_fract_y
_atom_site_fract_z
_atom_site_occupancy
Li1 Li 0.0000 0.0000 0.0000 1
Li2 Li 0.0869 0.2500 0.3678 1
Li3 Li 0.1785 0.0018 0.8076 1
V1 V 0.0865 0.7500 0.3500 1
S1 S 0.0630 0.2500 0.7640 1
S2 S 0.0826 0.7500 0.7100 1
S3 S 0.1553 0.5147 0.2191 1
```

The 8 most intense peaks (15° ≤ 2θ ≤ 90°), in order of falling intensity:
2θ 29.0, rel. 100, hkl 0 0 2; 2θ 26.1, rel. 81, hkl 2 2 0; 2θ 16.9, rel. 72, hkl 2 1 0; 2θ 44.8, rel. 67, hkl 6 2 0; 2θ 30.0, rel. 55, hkl 2 2 1; 2θ 25.0, rel. 48, hkl 4 0 0; 2θ 18.4, rel. 45, hkl 0 1 1; 2θ 19.1, rel. 36, hkl 2 0 1